# SmGa2Pd2
Calculated X-ray powder pattern, a wavelength of 1.5418 Å. Input: a PBE-relaxed structure.

Cell and atoms:
```
data_SmGa2Pd2
_chemical_formula_sum 'Sm2 Ga4 Pd4'
_symmetry_space_group_name_H-M 'I 4/m m m'
_symmetry_Int_Tables_number 139
_symmetry_space_group_name_Hall '-I 4 2'
_cell_length_a 4.2810
_cell_length_b 4.2810
_cell_length_c 10.4711
_cell_angle_alpha 90.00
_cell_angle_beta 90.00
_cell_angle_gamma 90.00
loop_
_atom_site_label
_atom_site_fract_x
_atom_site_fract_y
_atom_site_fract_z
_atom_site_occupancy
Sm1 0.0000 0.0000 0.0000 1
Ga1 0.0000 0.0000 0.3785 1
Pd1 0.0000 0.5000 0.2500 1
```

Largest 6 diffraction maxima, by angle, 15° ≤ 2θ ≤ 90°:
d/Å, Position (°2θ), I/Imax
2.705, 33.12, 440
2.620, 34.22, 1000
2.140, 42.22, 485
1.679, 54.68, 209
1.513, 61.28, 304
1.311, 72.06, 242

# Sm2Ga12Pd
Calculated X-ray powder pattern, a wavelength of 1.5418 Å. Input: a PBE-relaxed structure.

Cell and atoms:
```
data_Sm2Ga12Pd
_chemical_formula_sum 'Sm4 Ga24 Pd2'
_symmetry_space_group_name_H-M 'P 4/n b m'
_symmetry_Int_Tables_number 125
_cell_length_a 6.0693
_cell_length_b 6.0693
_cell_length_c 15.7029
_cell_angle_alpha 90.00
_cell_angle_beta 90.00
_cell_angle_gamma 90.00
loop_
_symmetry_equiv_pos_as_xyz
'x,y,z'
'-x,-y,-z'
'-y+1/2,x,z'
'y+1/2,-x,-z'
'-x+1/2,-y+1/2,z'
'x+1/2,y+1/2,-z'
'y,-x+1/2,z'
'-y,x+1/2,-z'
'x,-y+1/2,-z'
'-x,y+1/2,z'
'-y+1/2,-x+1/2,-z'
'y+1/2,x+1/2,z'
'-x+1/2,y,-z'
'x+1/2,-y,z'
'y,x,-z'
'-y,-x,z'
loop_
_atom_site_label
_atom_site_fract_x
_atom_site_fract_y
_atom_site_fract_z
_atom_site_occupancy
Sm1 0.2500 0.7500 0.2495 1
Ga1 0.0008 0.5008 0.4106 1
Ga2 0.0782 0.5782 0.9292 1
Ga3 0.2500 0.2500 0.1569 1
Ga4 0.2500 0.2500 0.3122 1
Pd1 0.2500 0.7500 0.5000 1
```

Largest 6 diffraction maxima, by angle, 15° ≤ 2θ ≤ 90°:
d/Å, Position (°2θ), I/Imax
2.897, 30.87, 770
2.831, 31.61, 1000
2.401, 37.46, 511
2.234, 40.38, 499
2.146, 42.11, 788
1.724, 53.12, 390